[1]
Simulated X-ray diffraction stick pattern of LiMg3W for λ = 1.5418 Å (Cu Kα), from DFT lattice parameters and positions (GGA-PBE).

Largest 12 diffraction maxima, most intense first, 10° ≤ 2θ ≤ 80°:
19.6 deg, intensity 100; 27.9 deg, intensity 99; 34.3 deg, intensity 97; 39.9 deg, intensity 52; 44.8 deg, intensity 49; 49.4 deg, intensity 43; 68.9 deg, intensity 38; 57.7 deg, intensity 35; 61.5 deg, intensity 25; 79.3 deg, intensity 22; 65.2 deg, intensity 19; 72.4 deg, intensity 12

Crystal structure
```
LiMg3W
1.0
4.5220 0.0000 0.0000
0.0000 4.5220 0.0000
0.0000 0.0000 4.5220
Li Mg W
1 3 1
Direct
0.0000 0.0000 0.0000 Li
0.0000 0.0000 0.5000 Mg
0.0000 0.5000 0.0000 Mg
0.5000 0.0000 0.0000 Mg
0.5000 0.5000 0.5000 W
```

---

[2]
Simulated X-ray diffraction stick pattern of Li2YMg9 for λ = 1.5418 Å (Cu Kα), from DFT lattice parameters and positions (GGA-PBE).

Largest 12 diffraction maxima, most intense first, 10° ≤ 2θ ≤ 80°:
33.2 deg, intensity 100; 33.4 deg, intensity 61; 59.6 deg, intensity 28; 29.3 deg, intensity 27; 13.7 deg, intensity 25; 20.9 deg, intensity 24; 25.1 deg, intensity 24; 36.0 deg, intensity 21; 32.9 deg, intensity 20; 25.5 deg, intensity 20; 50.1 deg, intensity 14; 79.9 deg, intensity 14

Crystal structure
```
Li2YMg9
1.0
-5.9971 5.9971 3.8309
5.9971 -5.9971 3.8309
5.9971 5.9971 -3.8309
Li Y Mg
4 2 18
Direct
0.0000 0.0000 0.0000 Li
0.0000 0.0000 0.5000 Li
0.0000 0.5000 0.0000 Li
0.5000 0.0000 0.5000 Li
0.3750 0.6250 0.7500 Y
0.6250 0.3750 0.2500 Y
0.1250 0.8750 0.2500 Mg
0.1274 0.5562 0.3284 Mg
0.1274 0.7990 0.5712 Mg
0.2010 0.2721 0.3284 Mg
0.2010 0.8726 0.9288 Mg
0.2721 0.2010 0.8284 Mg
0.2721 0.4438 0.0712 Mg
0.4438 0.2721 0.5712 Mg
0.4438 0.8726 0.1716 Mg
0.5562 0.1274 0.8284 Mg
0.5562 0.7279 0.4288 Mg
0.7279 0.5562 0.9288 Mg
0.7279 0.7990 0.1716 Mg
0.7990 0.1274 0.0712 Mg
0.7990 0.7279 0.6716 Mg
0.8726 0.2010 0.4288 Mg
0.8726 0.4438 0.6716 Mg
0.8750 0.1250 0.7500 Mg
```

---

[3]
Simulated X-ray diffraction stick pattern of Li2YMg2 for λ = 1.5418 Å (Cu Kα), from DFT lattice parameters and positions (GGA-PBE).

Largest 12 diffraction maxima, most intense first, 10° ≤ 2θ ≤ 80°:
27.7 deg, intensity 100; 35.5 deg, intensity 93; 32.7 deg, intensity 70; 34.3 deg, intensity 61; 59.1 deg, intensity 24; 23.9 deg, intensity 24; 58.6 deg, intensity 23; 50.3 deg, intensity 22; 39.8 deg, intensity 22; 64.7 deg, intensity 18; 40.1 deg, intensity 16; 29.8 deg, intensity 15

Crystal structure
```
Li2YMg2
1.0
1.9037 -9.0044 0.0000
1.9037 9.0044 0.0000
0.0000 0.0000 3.4509
Li Y Mg
2 1 2
Direct
0.1971 0.8029 0.0000 Li
0.8029 0.1971 0.0000 Li
0.0000 0.0000 0.0000 Y
0.3813 0.6187 0.5000 Mg
0.6187 0.3813 0.5000 Mg
```